[1]
Simulated powder diffraction line list of ThMgTcGe2 for Cu Kα (weighted mean of Kα1 and Kα2), from a structure optimized by DFT (PBE).
Kinematic intensities with the Lorentz-polarization factor, no thermal factor.

Atomic structure:
a = 4.118 Å, b = 4.118 Å, c = 11.580 Å
α = 90.00°, β = 90.00°, γ = 90.00°
Space group I-4m2 (No. 119)
One atom of each set of equivalent atoms:
Th  0.000  0.000  0.000 (multiplicity 2)
Mg  0.000  0.500  0.250 (multiplicity 2)
Tc  0.000  0.500  0.750 (multiplicity 2)
Ge  0.000  0.000  0.389 (multiplicity 4)

Top 12 peaks for 2θ from 5° to 70°, in order of rising 2θ:
index	two_theta	intensity
0 0 2	15.30	17.0
1 0 1	22.92	33.3
1 1 0	30.70	29.2
0 0 4	30.89	10.2
1 0 3	31.77	83.0
1 1 2	34.47	100.0
2 0 0	43.97	45.1
1 0 5	44.90	47.3
2 1 3	55.26	35.3
1 1 6	57.26	12.6
2 2 0	63.94	14.7
2 1 5	64.66	32.1



[2]
Simulated powder diffraction line list of Er4GeIr for Cu Kα (weighted mean of Kα1 and Kα2), from a structure optimized by DFT (PBE).
Kinematic intensities with the Lorentz-polarization factor, no thermal factor.

Atomic structure:
a = 6.759 Å, b = 6.759 Å, c = 13.951 Å
α = 90.00°, β = 90.00°, γ = 90.00°
Space group I4/mcm (No. 140)
One atom of each set of equivalent atoms:
Er  0.236  0.264  0.119 (multiplicity 16)
Ge  0.000  0.000  0.250 (multiplicity 4)
Ir  0.000  0.500  0.000 (multiplicity 4)

Top 12 peaks for 2θ from 5° to 70°, in order of rising 2θ:
index	two_theta	intensity
0 0 2	12.69	9.9
1 1 2	22.55	30.2
0 0 4	25.54	12.1
2 0 0	26.37	22.0
2 0 4	37.04	100.0
2 2 0	37.64	47.6
3 1 2	44.33	10.2
2 2 4	46.04	9.1
0 0 8	52.47	9.0
4 0 0	54.29	16.0
2 2 8	66.36	17.2
4 2 4	67.55	32.0



[3]
Simulated powder diffraction line list of Hg5Pd2 for Cu Kα (weighted mean of Kα1 and Kα2), from a structure optimized by DFT (PBE).
Kinematic intensities with the Lorentz-polarization factor, no thermal factor.

Atomic structure:
a = 9.915 Å, b = 9.915 Å, c = 2.986 Å
α = 90.00°, β = 90.00°, γ = 90.00°
Space group P4/mbm (No. 127)
One atom of each set of equivalent atoms:
Hg  0.000  0.500  0.000 (multiplicity 2)
Hg  0.064  0.205  0.000 (multiplicity 8)
Pd  0.180  0.680  0.500 (multiplicity 4)

Top 12 peaks for 2θ from 5° to 70°, in order of rising 2θ:
index	two_theta	intensity
3 1 0	28.47	47.5
0 0 1	29.92	53.2
3 2 0	32.56	35.0
2 1 1	36.26	59.6
4 1 0	37.40	100.0
3 3 0	38.52	34.2
2 2 1	39.65	20.6
3 1 1	41.77	79.8
3 2 1	44.80	43.9
4 1 1	48.61	21.3
5 5 0	66.70	23.3
6 2 1	67.47	26.3



[4]
Simulated powder diffraction line list of YCl2 for Cu Kα (weighted mean of Kα1 and Kα2), from a structure optimized by DFT (PBE).
Kinematic intensities with the Lorentz-polarization factor, no thermal factor.

Atomic structure:
a = 3.396 Å, b = 3.396 Å, c = 13.907 Å
α = 90.00°, β = 90.00°, γ = 90.00°
Space group I4/mmm (No. 139)
One atom of each set of equivalent atoms:
Y  0.000  0.000  0.000 (multiplicity 2)
Cl  0.000  0.000  0.386 (multiplicity 4)

Top 12 peaks for 2θ from 5° to 70°, in order of rising 2θ:
index	two_theta	intensity
0 0 2	12.73	100.0
1 0 1	27.02	7.8
1 0 3	32.69	64.9
1 1 0	37.45	34.4
1 1 2	39.71	22.7
1 0 5	41.99	44.9
0 0 8	52.65	5.2
1 0 7	53.43	4.8
2 0 0	54.00	11.0
2 0 2	55.72	8.1
2 1 3	64.57	16.1
1 1 8	66.39	10.2



[5]
Simulated powder diffraction line list of PaGeAsN for Cu Kα (weighted mean of Kα1 and Kα2), from a structure optimized by DFT (PBE).
Kinematic intensities with the Lorentz-polarization factor, no thermal factor.

Atomic structure:
a = 3.864 Å, b = 3.864 Å, c = 10.135 Å
α = 90.00°, β = 90.00°, γ = 90.00°
Space group P4/nmm (No. 129, origin choice 2)
One atom of each set of equivalent atoms:
Pa  0.250  0.250  0.120 (multiplicity 2)
Ge  0.250  0.750  0.500 (multiplicity 2)
As  0.250  0.250  0.734 (multiplicity 2)
N  0.250  0.750  0.000 (multiplicity 2)

Top 12 peaks for 2θ from 5° to 70°, in order of rising 2θ:
index	two_theta	intensity
0 0 1	8.73	56.9
0 0 3	26.38	17.9
1 0 2	29.06	100.0
1 1 0	32.78	28.8
1 1 1	33.98	54.8
1 0 3	35.29	63.9
1 1 2	37.39	20.0
2 0 0	47.03	35.6
1 1 4	49.03	24.2
1 0 5	50.87	14.9
2 1 2	56.24	32.7
2 1 3	60.15	29.1



[6]
Simulated powder diffraction line list of Li3Ga2Ag5 for Cu Kα (weighted mean of Kα1 and Kα2), from a structure optimized by DFT (PBE).
Kinematic intensities with the Lorentz-polarization factor, no thermal factor.

Atomic structure:
a = 10.348 Å, b = 13.552 Å, c = 5.325 Å
α = 90.00°, β = 90.00°, γ = 90.00°
Space group Ibam (No. 72)
One atom of each set of equivalent atoms:
Li  0.000  0.000  0.250 (multiplicity 4)
Li  0.091  0.323  0.000 (multiplicity 8)
Ga  0.099  0.156  0.500 (multiplicity 8)
Ag  0.000  0.500  0.250 (multiplicity 4)
Ag  0.215  0.321  0.500 (multiplicity 8)
Ag  0.238  0.000  0.250 (multiplicity 8)

Top 12 peaks for 2θ from 5° to 70°, in order of rising 2θ:
index	two_theta	intensity
0 2 0	13.07	38.6
2 0 0	17.14	72.3
1 3 0	21.46	29.1
2 1 1	24.88	67.4
3 2 1	33.67	63.1
0 2 2	36.25	100.0
0 6 0	39.91	60.1
3 4 1	41.01	37.5
0 4 2	43.22	49.8
4 4 0	44.04	28.9
4 2 2	51.04	33.8
5 3 2	60.22	29.0



[7]
Simulated powder diffraction line list of MnSbH for Cu Kα (weighted mean of Kα1 and Kα2), from a structure optimized by DFT (PBE).
Kinematic intensities with the Lorentz-polarization factor, no thermal factor.

Atomic structure:
a = 5.1688 Å, b = 5.1688 Å, c = 5.9504 Å
α = 90.00°, β = 90.00°, γ = 120.00°
Space group P3_221 (No. 154)
One atom of each set of equivalent atoms:
Mn  0.0000  0.1429  0.3333 (multiplicity 3)
Sb  0.0000  0.6279  0.3333 (multiplicity 3)
H  0.0000  0.6904  0.8333 (multiplicity 3)

Top 12 peaks for 2θ from 5° to 70°, in order of rising 2θ:
index	two_theta	intensity
1 0 0	19.83	10.9
1 0 1	24.89	100.0
1 1 0	34.71	32.1
0 1 2	36.25	39.2
1 1 1	37.96	11.1
0 2 1	43.19	52.5
0 0 3	45.74	16.0
2 0 2	51.07	32.2
2 1 0	54.21	7.3
2 1 1	56.55	15.3
1 1 3	58.67	13.4
1 2 2	63.23	11.1